Simulated powder diffraction line list
Compound: P3Pb5IO12
Radiation: Cu Kα
Structure: a crystal structure in the Materials Project, relaxed with GGA-PBE
Peak positions follow from Bragg's law for the DFT cell and can differ from measured ones.

Structural model:
abc: 10.3887 10.3887 7.4776
angles: 90.00 90.00 120.00
Space group P6_3/m (No. 176)
Inequivalent atoms, fractional coordinates:
P1 0.0397 0.4144 0.2500 x6
Pb1 0.0179 0.7430 0.2500 x6
Pb2 0.3333 0.6667 0.5046 x4
I1 0.0000 0.0000 0.0000 x2
O1 0.0935 0.3661 0.0813 x12
O2 0.1294 0.6427 0.7500 x6
O3 0.1306 0.5917 0.2500 x6

Principal peaks in the range 10 to 90 degrees two-theta, in order of falling intensity:
d_spacing  intensity  hkl
3.034  100  1 1 2
2.999  62  3 0 0
3.095  54  1 2 1
4.266  38  1 1 1
2.133  36  2 2 2
1.990  19  2 3 1

***

Simulated powder diffraction line list
Compound: Sr2PIO4
Radiation: Cu Kα
Structure: a crystal structure in the Materials Project, relaxed with GGA-PBE
Peak positions follow from Bragg's law for the DFT cell and can differ from measured ones.

Structural model:
abc: 9.225 9.020 8.541
angles: 90.00 112.51 90.00
Space group P2_1/c (No. 14)
Inequivalent atoms, fractional coordinates:
Sr1 0.149 0.195 0.041 x4
Sr2 0.247 0.671 0.951 x4
P1 0.044 0.553 0.243 x4
I1 0.493 0.096 0.744 x4
O1 0.072 0.112 0.714 x4
O2 0.104 0.583 0.437 x4
O3 0.130 0.665 0.169 x4
O4 0.137 0.083 0.338 x4

Principal peaks in the range 10 to 90 degrees two-theta, in order of falling intensity:
d_spacing  intensity  hkl
3.326  100  1 2 1
3.682  47  2 0 -2
2.156  40  1 4 -1
2.969  31  0 2 2
2.462  29  2 0 2
2.841  25  3 0 0

***

Simulated powder diffraction line list
Compound: PbI2O6
Radiation: Cu Kα
Structure: a crystal structure in the Materials Project, relaxed with GGA-PBE
Peak positions follow from Bragg's law for the DFT cell and can differ from measured ones.

Structural model:
abc: 7.070 7.205 13.379
angles: 85.49 86.32 63.53
Space group P-1 (No. 2)
Inequivalent atoms, fractional coordinates:
Pb1 0.026 0.150 0.131 x2
Pb2 0.036 0.672 0.372 x2
I1 0.325 0.505 0.117 x2
I2 0.328 0.145 0.874 x2
I3 0.333 0.607 0.616 x2
I4 0.341 0.044 0.384 x2
O1 0.073 0.502 0.162 x2
O2 0.097 0.069 0.330 x2
O3 0.145 0.531 0.561 x2
O4 0.158 0.054 0.950 x2
O5 0.263 0.058 0.518 x2
O6 0.273 0.093 0.750 x2
O7 0.274 0.761 0.158 x2
O8 0.277 0.548 0.981 x2
O9 0.298 0.556 0.749 x2
O10 0.326 0.305 0.353 x2
O11 0.419 0.091 0.109 x2
O12 0.423 0.634 0.409 x2

Principal peaks in the range 10 to 90 degrees two-theta, in order of falling intensity:
d_spacing  intensity  hkl
3.333  100  0 0 4
3.204  78  2 1 2
3.292  70  -1 1 2
3.031  69  2 1 -2
3.581  68  1 2 0
3.254  65  1 -1 2

***

Simulated powder diffraction line list
Compound: PbI2O6
Radiation: Cu Kα
Structure: a crystal structure in the Materials Project, relaxed with GGA-PBE
Peak positions follow from Bragg's law for the DFT cell and can differ from measured ones.

Structural model:
abc: 17.057 5.640 6.176
angles: 90.00 90.00 90.00
Space group Pbcn (No. 60)
Inequivalent atoms, fractional coordinates:
Pb1 0.000 0.238 0.250 x4
I1 0.162 0.245 0.701 x8
O1 0.070 0.103 0.602 x8
O2 0.113 0.409 0.923 x8
O3 0.208 0.001 0.348 x8

Principal peaks in the range 10 to 90 degrees two-theta, in order of falling intensity:
d_spacing  intensity  hkl
3.360  100  3 1 1
3.088  16  0 0 2
1.725  14  9 1 1
1.715  14  3 3 1
2.843  14  6 0 0
2.002  13  6 2 0

***

Simulated powder diffraction line list
Compound: Pb2IO2
Radiation: Cu Kα
Structure: a crystal structure in the Materials Project, relaxed with GGA-PBE
Peak positions follow from Bragg's law for the DFT cell and can differ from measured ones.

Structural model:
abc: 4.082 4.082 13.893
angles: 90.00 90.00 90.00
Space group I4/mmm (No. 139)
Inequivalent atoms, fractional coordinates:
Pb1 0.000 0.000 0.163 x4
I1 0.000 0.000 0.500 x2
O1 0.000 0.500 0.250 x4

Principal peaks in the range 10 to 90 degrees two-theta, in order of falling intensity:
d_spacing  intensity  hkl
3.062  100  1 0 3
2.887  38  1 1 0
1.699  37  2 1 3
1.806  25  1 1 6
2.041  18  2 0 0
1.444  17  2 2 0

***

Simulated powder diffraction line list
Compound: PbIO
Radiation: Cu Kα
Structure: a crystal structure in the Materials Project, relaxed with GGA-PBE
Peak positions follow from Bragg's law for the DFT cell and can differ from measured ones.

Structural model:
abc: 8.235 3.593 11.412
angles: 90.00 90.00 90.00
Space group Pnma (No. 62)
Inequivalent atoms, fractional coordinates:
Pb1 0.160 0.250 0.068 x4
I1 0.026 0.750 0.330 x4
O1 0.119 0.750 0.955 x4

Principal peaks in the range 10 to 90 degrees two-theta, in order of falling intensity:
d_spacing  intensity  hkl
2.852  100  1 1 2
3.164  81  1 1 1
2.669  66  3 0 1
1.733  59  3 1 4
3.453  57  1 0 3
4.690  48  1 0 2

***

Q: Which formula does entry 5 have?
A: Pb2IO2